LuAlB14: calculated powder XRD pattern (copper Kα), based on a crystal structure in OQMD, relaxed with PBE.
Peak positions follow from Bragg's law for the DFT cell and can differ from measured ones.

Most intense lines, 2θ from 5° to 70°, by intensity:
2theta, intensity
27.92, 100
13.78, 96
17.05, 72
33.46, 54
25.31, 51
40.38, 51
37.27, 48
41.72, 44
35.00, 32
18.56, 25

Lattice parameters (Å, degrees): 7.2414 7.2414 7.2414 131.98 88.19 111.27
Element x y z (fractional)
Lu  0.4025  0.1525  0.2500
Lu  0.5975  0.8475  0.7500
Al  0.0000  0.0000  0.5000
Al  0.0000  0.5000  0.0000
B  0.0212  0.8764  0.1448
B  0.0322  0.2044  0.3326
B  0.0322  0.6996  0.8278
B  0.0785  0.6683  0.4102
B  0.2012  0.5338  0.6674
B  0.2246  0.4998  0.3991
B  0.2246  0.8255  0.7248
B  0.2315  0.8764  0.3552
B  0.2419  0.3317  0.9102
B  0.3664  0.5338  0.8326
B  0.3718  0.2044  0.6722
B  0.3718  0.6996  0.1674
B  0.3993  0.1745  0.8991
B  0.3993  0.5002  0.2248
B  0.6007  0.4998  0.7752
B  0.6007  0.8255  0.1009
B  0.6282  0.3004  0.8326
B  0.6282  0.7956  0.3278
B  0.6336  0.4662  0.1674
B  0.7581  0.6683  0.0898
B  0.7685  0.1236  0.6448
B  0.7754  0.1745  0.2752
B  0.7754  0.5002  0.6009
B  0.7988  0.4662  0.3326
B  0.9215  0.3317  0.5898
B  0.9678  0.3004  0.1722
B  0.9678  0.7956  0.6674
B  0.9788  0.1236  0.8552

Nb2AlB: calculated powder XRD pattern (copper Kα), based on a crystal structure in OQMD, relaxed with PBE.
Peak positions follow from Bragg's law for the DFT cell and can differ from measured ones.

Most intense lines, 2θ from 5° to 70°, by intensity:
2theta, intensity
37.80, 100
12.70, 25
32.31, 22
57.63, 21
32.96, 19
38.74, 18
51.31, 14
69.51, 13
25.55, 11
56.93, 9

Lattice parameters (Å, degrees): 3.1991 3.1991 13.9458 90.00 90.00 120.00
Element x y z (fractional)
Nb  0.3333  0.6667  0.0915
Nb  0.3333  0.6667  0.4085
Nb  0.6667  0.3333  0.5915
Nb  0.6667  0.3333  0.9085
Al  0.3333  0.6667  0.7500
Al  0.6667  0.3333  0.2500
B  0.0000  0.0000  0.0000
B  0.0000  0.0000  0.5000

NdAl3B4O12: calculated powder XRD pattern (copper Kα), based on a crystal structure in OQMD, relaxed with PBE.
Peak positions follow from Bragg's law for the DFT cell and can differ from measured ones.

Most intense lines, 2θ from 5° to 70°, by intensity:
2theta, intensity
33.13, 100
25.19, 59
15.72, 54
20.64, 45
16.41, 31
31.32, 29
38.45, 27
34.14, 21
55.41, 21
39.36, 19

Lattice parameters (Å, degrees): 5.9220 5.9220 11.0854 97.94 97.94 104.58
Element x y z (fractional)
Nd  0.0376  0.9624  0.7500
Nd  0.9624  0.0376  0.2500
Al  0.1945  0.6938  0.4713
Al  0.3062  0.8055  0.0287
Al  0.4106  0.5894  0.2500
Al  0.5894  0.4106  0.7500
Al  0.6938  0.1945  0.9713
Al  0.8055  0.3062  0.5287
B  0.1221  0.4922  0.7781
B  0.2225  0.2805  0.0054
B  0.2805  0.2225  0.5054
B  0.4922  0.1221  0.2781
B  0.5078  0.8779  0.7219
B  0.7195  0.7775  0.4946
B  0.7775  0.7195  0.9946
B  0.8779  0.5078  0.2219
O  0.0038  0.8061  0.0622
O  0.1030  0.5768  0.2947
O  0.1300  0.3685  0.4964
O  0.1824  0.6965  0.8629
O  0.1939  0.9962  0.4378
O  0.2706  0.3539  0.7577
O  0.3026  0.5073  0.0742
O  0.3035  0.8176  0.6371
O  0.3539  0.2706  0.2577
O  0.3685  0.1300  0.9964
O  0.4232  0.8970  0.2053
O  0.4927  0.6974  0.4258
O  0.5073  0.3026  0.5742
O  0.5768  0.1030  0.7947
O  0.6315  0.8700  0.0036
O  0.6461  0.7294  0.7423
O  0.6965  0.1824  0.3629
O  0.6974  0.4927  0.9258
O  0.7294  0.6461  0.2423
O  0.8061  0.0038  0.5622
O  0.8176  0.3035  0.1371
O  0.8700  0.6315  0.5036
O  0.8970  0.4232  0.7053
O  0.9962  0.1939  0.9378

AlNi20B14: calculated powder XRD pattern (copper Kα), based on a crystal structure in OQMD, relaxed with PBE.
Peak positions follow from Bragg's law for the DFT cell and can differ from measured ones.

Most intense lines, 2θ from 5° to 70°, by intensity:
2theta, intensity
44.06, 100
50.56, 41
51.33, 29
33.56, 22
23.56, 12
48.20, 12
37.67, 11
41.42, 11
56.50, 6
28.96, 5

Lattice parameters (Å, degrees): 7.5521 7.5521 7.5521 60.00 60.00 60.00
Element x y z (fractional)
Al  0.0000  0.0000  0.0000
Ni  0.0000  0.0000  0.3342
Ni  0.0000  0.0000  0.6658
Ni  0.0000  0.3342  0.0000
Ni  0.0000  0.3342  0.6658
Ni  0.0000  0.6658  0.0000
Ni  0.0000  0.6658  0.3342
Ni  0.1354  0.6215  0.6215
Ni  0.3342  0.0000  0.0000
Ni  0.3342  0.0000  0.6658
Ni  0.3342  0.6658  0.0000
Ni  0.3785  0.3785  0.3785
Ni  0.3785  0.3785  0.8646
Ni  0.3785  0.8646  0.3785
Ni  0.6215  0.1354  0.6215
Ni  0.6215  0.6215  0.1354
Ni  0.6215  0.6215  0.6215
Ni  0.6658  0.0000  0.0000
Ni  0.6658  0.0000  0.3342
Ni  0.6658  0.3342  0.0000
Ni  0.8646  0.3785  0.3785
B  0.1899  0.1899  0.1899
B  0.1899  0.1899  0.4303
B  0.1899  0.4303  0.1899
B  0.2762  0.2762  0.7238
B  0.2762  0.7238  0.2762
B  0.2762  0.7238  0.7238
B  0.4303  0.1899  0.1899
B  0.5697  0.8101  0.8101
B  0.7238  0.2762  0.2762
B  0.7238  0.2762  0.7238
B  0.7238  0.7238  0.2762
B  0.8101  0.5697  0.8101
B  0.8101  0.8101  0.5697
B  0.8101  0.8101  0.8101